Computed XRD peak list of FeP4O12 for Cu Ka, from the GGA+U geometry in the Materials Project.
Neutral-atom scattering factors, no anomalous dispersion.

Top 12 peaks for 5° ≤ 2θ ≤ 70°, low angle first:
2θ/deg  I_rel
11.6  100
14.8  42
17.7  99
18.9  58
23.0  37
24.1  88
27.1  61
27.6  23
30.7  21
33.1  39
35.1  17
38.7  24

a = 8.1567 Å, b = 8.1567 Å, c = 7.9342 Å
α = 97.44°, β = 97.44°, γ = 107.78°
Positions (direct):
Fe 0.1333 0.8667 0.7500
Fe 0.8667 0.1333 0.2500
P 0.0441 0.2097 0.6743
P 0.2097 0.0441 0.1743
P 0.2574 0.5718 0.8802
P 0.4282 0.7426 0.6198
P 0.5718 0.2574 0.3802
P 0.7426 0.4282 0.1198
P 0.7903 0.9559 0.8257
P 0.9559 0.7903 0.3257
O 0.0080 0.2700 0.5081
O 0.0755 0.1417 0.1687
O 0.1164 0.6555 0.8158
O 0.1312 0.8688 0.2500
O 0.1417 0.0755 0.6687
O 0.1549 0.3651 0.8266
O 0.2700 0.0080 0.0081
O 0.3371 0.6174 0.0630
O 0.3445 0.8836 0.6842
O 0.3651 0.1549 0.3266
O 0.3826 0.6629 0.4370
O 0.3954 0.6046 0.7500
O 0.6046 0.3954 0.2500
O 0.6174 0.3371 0.5630
O 0.6349 0.8451 0.6734
O 0.6555 0.1164 0.3158
O 0.6629 0.3826 0.9370
O 0.7300 0.9920 0.9919
O 0.8451 0.6349 0.1734
O 0.8583 0.9245 0.3313
O 0.8688 0.1312 0.7500
O 0.8836 0.3445 0.1842
O 0.9245 0.8583 0.8313
O 0.9920 0.7300 0.4919

***

Computed XRD peak list of Li3FeO4 for Cu Ka, from the GGA+U geometry in the Materials Project.
Neutral-atom scattering factors, no anomalous dispersion.

Top 12 peaks for 5° ≤ 2θ ≤ 70°, low angle first:
2θ/deg  I_rel
20.6  33
24.3  100
31.3  19
38.4  8
41.8  23
44.9  44
49.9  11
51.7  22
53.2  5
58.1  13
63.0  22
65.4  11

a = 5.1774 Å, b = 5.1774 Å, c = 5.1774 Å
α = 134.11°, β = 134.11°, γ = 66.92°
Positions (direct):
Li 0.0000 0.0000 0.0000
Li 0.2500 0.7500 0.5000
Li 0.7500 0.2500 0.5000
Fe 0.5000 0.5000 0.0000
O 0.0000 0.5000 0.5000
O 0.2876 0.2876 0.0000
O 0.5000 0.0000 0.5000
O 0.7124 0.7124 0.0000